This entry pairs a crystal structure of SnPb3Au3 with its theoretical powder XRD pattern. Radiation: Cu Ka. Structure: DFT lattice parameters and positions (GGA-PBE).
Peak positions follow from Bragg's law for the DFT cell and can differ from measured ones.

Crystal structure
Cell: 8.5356 8.5356 18.0361 Å, 90.00 90.00 120.00°
Space group R-3 (No. 148, hexagonal axes)
Asymmetric unit:
Sn  0.0000  0.0000  0.1638
Pb  0.0101  0.7504  0.6002
Au  0.0077  0.6066  0.4296

Main lines, by angle (5° ≤ 2θ ≤ 70°):
(1 1 0), d 4.268, I = 35; (0 0 6), d 3.006, I = 32; (3 -1 1), d 2.761, I = 44; (3 -2 2), d 2.669, I = 52; (2 -1 6), d 2.460, I = 100; (2 1 4), d 2.375, I = 26; (1 2 8), d 1.754, I = 11; (2 -1 12), d 1.417, I = 24

=====

This entry pairs a crystal structure of Sn6Pb12Au with its theoretical powder XRD pattern. Radiation: Cu Ka. Structure: DFT lattice parameters and positions (GGA-PBE).
Peak positions follow from Bragg's law for the DFT cell and can differ from measured ones.

Crystal structure
Cell: 10.4367 10.4367 18.1971 Å, 90.00 90.00 120.00°
Space group R-3m (No. 166, hexagonal axes)
Asymmetric unit:
Sn  0.0993  0.5496  0.2701
Pb  0.1027  0.5513  0.9161
Pb  0.1107  0.2213  0.9091
Au  0.0000  0.0000  0.5000

Main lines, by angle (5° ≤ 2θ ≤ 70°):
(0 0 6), d 3.033, I = 23; (3 0 0), d 3.013, I = 18; (0 3 3), d 2.698, I = 100; (3 0 6), d 2.137, I = 20; (3 3 0), d 1.739, I = 21; (3 0 9), d 1.679, I = 18; (3 3 6), d 1.509, I = 18; (6 0 3), d 1.462, I = 16

=====

This entry pairs a crystal structure of SnPb2Au with its theoretical powder XRD pattern. Radiation: Cu Ka. Structure: DFT lattice parameters and positions (GGA-PBE).
Peak positions follow from Bragg's law for the DFT cell and can differ from measured ones.

Crystal structure
Cell: 4.4789 4.4789 22.3885 Å, 90.00 90.00 90.00°
Space group I-42d (No. 122)
Asymmetric unit:
Sn  0.0000  0.0000  0.0000
Pb  0.2418  0.2500  0.6250
Au  0.0000  0.0000  0.5000

Main lines, by angle (5° ≤ 2θ ≤ 70°):
(1 1 2), d 3.047, I = 100; (0 0 8), d 2.799, I = 40; (1 1 6), d 2.415, I = 54; (2 0 4), d 2.079, I = 69; (1 1 10), d 1.828, I = 25; (2 0 12), d 1.433, I = 21; (3 1 2), d 1.405, I = 20; (2 2 8), d 1.378, I = 19